# BaCoPdO3
Theoretical PXRD pattern, Cu Kα (λ = 1.5418 Å). Input: DFT lattice parameters and positions (PBE+U).

Atomic structure:
Cell: 3.5212 4.3429 11.0245 Å, 90.00 90.00 90.00°
Space group Imm2 (No. 44)
Asymmetric unit:
1 Ba 0.0000 0.0000 0.0000 x2
2 Co 0.0000 0.0000 0.3119 x2
3 Pd 0.0000 0.0000 0.6892 x2
4 O 0.0000 0.0000 0.4872 x2
5 O 0.0000 0.5000 0.3044 x2
6 O 0.0000 0.5000 0.7138 x2

Main lines, low angle first (15° ≤ 2θ ≤ 90°):
h k l	2θ/deg	intensity
0 1 3	31.9	80
1 1 0	32.7	100
1 0 3	35.3	89
0 2 0	41.6	38
1 1 4	46.8	20
1 2 3	55.7	46
1 1 6	60.7	26
2 1 3	62.3	24